# 1
The following is a calculated XRD peak list of Ba4Te3Au. It was derived from a structure optimized by DFT (PBE), using Cu Kα (λ = 1.5418 Å).
No peak broadening, texture or thermal motion is included.

Most intense lines, 2θ from 15° to 90°, in order of falling intensity:
2θ (°)  I_rel
25.5  100
36.1  27
36.5  26
44.9  14
52.3  14
36.2  13
36.4  13
58.7  13
59.4  12
65.6  9

Crystal structure
a b c (Å): 6.996 4.938 9.926
angles (deg): 90.00 91.03 90.00
Space group Pm (No. 6)
Symmetry-distinct sites (fractional):
Ba  0.000  0.000  0.000 [1 per cell]
Ba  0.007  0.000  0.500 [1 per cell]
Ba  0.497  0.500  0.245 [1 per cell]
Ba  0.513  0.500  0.751 [1 per cell]
Te  0.013  0.500  0.751 [1 per cell]
Te  0.507  0.000  0.498 [1 per cell]
Te  0.997  0.500  0.249 [1 per cell]
Au  0.499  0.000  0.998 [1 per cell]

# 2
The following is a calculated XRD peak list of Ba2Tl7Au. It was derived from a structure optimized by DFT (PBE), using Cu Kα (λ = 1.5418 Å).
No peak broadening, texture or thermal motion is included.

Most intense lines, 2θ from 15° to 90°, in order of falling intensity:
2θ (°)  I_rel
29.7  100
34.3  77
39.0  44
30.8  39
28.9  36
29.6  33
31.6  33
30.6  30
32.5  28
57.6  25

Crystal structure
a b c (Å): 22.078 5.235 10.579
angles (deg): 90.00 90.00 90.00
Space group Pnma (No. 62)
Symmetry-distinct sites (fractional):
Ba  0.041  0.250  0.250 [4 per cell]
Ba  0.211  0.250  0.004 [4 per cell]
Tl  0.049  0.250  0.598 [4 per cell]
Tl  0.054  0.250  0.895 [4 per cell]
Tl  0.089  0.750  0.040 [4 per cell]
Tl  0.103  0.750  0.475 [4 per cell]
Tl  0.147  0.750  0.767 [4 per cell]
Tl  0.200  0.250  0.647 [4 per cell]
Tl  0.204  0.250  0.349 [4 per cell]
Au  0.174  0.750  0.241 [4 per cell]

# 3
The following is a calculated XRD peak list of BaTl3Au. It was derived from a structure optimized by DFT (PBE), using Cu Kα (λ = 1.5418 Å).
No peak broadening, texture or thermal motion is included.

Most intense lines, 2θ from 15° to 90°, in order of falling intensity:
2θ (°)  I_rel
29.7  100
37.4  63
38.4  53
39.6  33
27.8  30
55.6  25
62.7  24
68.1  22
53.9  22
19.7  22

Crystal structure
a b c (Å): 4.811 4.811 12.927
angles (deg): 90.00 90.00 90.00
Space group I4mm (No. 107)
Symmetry-distinct sites (fractional):
Ba  0.000  0.000  0.000 [2 per cell]
Tl  0.000  0.000  0.614 [2 per cell]
Tl  0.000  0.500  0.266 [4 per cell]
Au  0.000  0.000  0.397 [2 per cell]

# 4
The following is a calculated XRD peak list of BaUAu. It was derived from a structure optimized by DFT (PBE), using Cu Kα (λ = 1.5418 Å).
No peak broadening, texture or thermal motion is included.

Most intense lines, 2θ from 15° to 90°, in order of falling intensity:
2θ (°)  I_rel
35.4  100
21.4  41
63.5  38
41.7  23
50.9  18
85.6  17
74.8  12
55.8  10
78.9  8
67.8  8

Crystal structure
a b c (Å): 7.178 7.178 7.178
angles (deg): 90.00 90.00 90.00
Space group F-43m (No. 216)
Symmetry-distinct sites (fractional):
Ba  0.000  0.000  0.000 [4 per cell]
U  0.250  0.250  0.250 [4 per cell]
Au  0.000  0.000  0.500 [4 per cell]

# 5
The following is a calculated XRD peak list of BeAu2. It was derived from a structure optimized by DFT (PBE), using Cu Kα (λ = 1.5418 Å).
No peak broadening, texture or thermal motion is included.

Most intense lines, 2θ from 15° to 90°, in order of falling intensity:
2θ (°)  I_rel
44.5  100
31.0  83
31.2  41
55.3  33
73.5  29
81.9  24
73.7  15
82.1  12
64.7  11
65.0  5

Crystal structure
a b c (Å): 5.767 5.767 11.485
angles (deg): 90.00 90.00 90.00
Space group I4_1/amd (No. 141, origin choice 2)
Symmetry-distinct sites (fractional):
Be  0.000  0.250  0.124 [8 per cell]
Au  0.250  0.000  0.000 [16 per cell]

# 6
The following is a calculated XRD peak list of BeAu2. It was derived from a structure optimized by DFT (PBE), using Cu Kα (λ = 1.5418 Å).
No peak broadening, texture or thermal motion is included.

Most intense lines, 2θ from 15° to 90°, in order of falling intensity:
2θ (°)  I_rel
40.7  100
31.6  90
43.5  52
57.3  37
35.5  36
77.9  31
72.9  22
63.2  17
72.4  17
74.6  17

Crystal structure
a b c (Å): 2.944 2.944 10.120
angles (deg): 90.00 90.00 90.00
Space group I4/mmm (No. 139)
Symmetry-distinct sites (fractional):
Be  0.000  0.000  0.000 [2 per cell]
Au  0.000  0.000  0.358 [4 per cell]

# 7
The following is a calculated XRD peak list of ErBe3Au. It was derived from a structure optimized by DFT (PBE), using Cu Kα (λ = 1.5418 Å).
No peak broadening, texture or thermal motion is included.

Most intense lines, 2θ from 15° to 90°, in order of falling intensity:
2θ (°)  I_rel
27.7  100
29.2  50
50.8  41
48.0  26
41.7  19
57.2  15
37.3  14
77.1  12
80.8  11
61.5  11

Crystal structure
a b c (Å): 6.119 6.119 9.644
angles (deg): 90.00 90.00 90.00
Space group I4/mcm (No. 140)
Symmetry-distinct sites (fractional):
Er  0.000  0.000  0.000 [4 per cell]
Be  0.000  0.000  0.250 [4 per cell]
Be  0.108  0.392  0.000 [8 per cell]
Au  0.000  0.500  0.250 [4 per cell]

# 8
The following is a calculated XRD peak list of Hf2BeAu. It was derived from a structure optimized by DFT (PBE), using Cu Kα (λ = 1.5418 Å).
No peak broadening, texture or thermal motion is included.

Most intense lines, 2θ from 15° to 90°, in order of falling intensity:
2θ (°)  I_rel
38.6  100
69.9  36
23.4  23
55.8  17
27.0  15
45.6  12
82.8  12
63.1  6
61.3  5
47.8  4

Crystal structure
a b c (Å): 6.593 6.593 6.593
angles (deg): 90.00 90.00 90.00
Space group F-43m (No. 216)
Symmetry-distinct sites (fractional):
Hf  0.000  0.000  0.000 [4 per cell]
Hf  0.250  0.250  0.250 [4 per cell]
Be  0.000  0.000  0.500 [4 per cell]
Au  0.250  0.250  0.750 [4 per cell]

# 9
The following is a calculated XRD peak list of BeNiPbAu. It was derived from a structure optimized by DFT (PBE), using Cu Kα (λ = 1.5418 Å).
No peak broadening, texture or thermal motion is included.

Most intense lines, 2θ from 15° to 90°, in order of falling intensity:
2θ (°)  I_rel
40.2  100
28.1  62
73.1  35
65.9  24
49.8  18
58.2  17
86.9  12
24.3  4
47.6  2
64.0  1

Crystal structure
a b c (Å): 6.341 6.341 6.341
angles (deg): 90.00 90.00 90.00
Space group F-43m (No. 216)
Symmetry-distinct sites (fractional):
Be  0.000  0.000  0.000 [4 per cell]
Ni  0.000  0.000  0.500 [4 per cell]
Pb  0.250  0.250  0.250 [4 per cell]
Au  0.250  0.250  0.750 [4 per cell]

# 10
The following is a calculated XRD peak list of BePb2Au. It was derived from a structure optimized by DFT (PBE), using Cu Kα (λ = 1.5418 Å).
No peak broadening, texture or thermal motion is included.

Most intense lines, 2θ from 15° to 90°, in order of falling intensity:
2θ (°)  I_rel
35.4  100
63.5  38
21.4  24
50.9  18
85.6  18
41.7  13
74.8  12
24.8  12
55.8  6
57.4  5

Crystal structure
a b c (Å): 7.177 7.177 7.177
angles (deg): 90.00 90.00 90.00
Space group F-43m (No. 216)
Symmetry-distinct sites (fractional):
Be  0.000  0.000  0.000 [4 per cell]
Pb  0.000  0.000  0.500 [4 per cell]
Pb  0.250  0.250  0.750 [4 per cell]
Au  0.250  0.250  0.250 [4 per cell]

# 11
The following is a calculated XRD peak list of BeSbPdAu. It was derived from a structure optimized by DFT (PBE), using Cu Kα (λ = 1.5418 Å).
No peak broadening, texture or thermal motion is included.

Most intense lines, 2θ from 15° to 90°, in order of falling intensity:
2θ (°)  I_rel
39.4  100
71.5  35
23.8  27
27.6  22
57.0  17
46.6  14
84.8  11
64.4  8
48.8  6
62.6  6

Crystal structure
a b c (Å): 6.466 6.466 6.466
angles (deg): 90.00 90.00 90.00
Space group F-43m (No. 216)
Symmetry-distinct sites (fractional):
Be  0.000  0.000  0.000 [4 per cell]
Sb  0.000  0.000  0.500 [4 per cell]
Pd  0.250  0.250  0.250 [4 per cell]
Au  0.250  0.250  0.750 [4 per cell]